# SrPm5Te8
Calculated X-ray diffraction stick pattern, copper Kα. Input: DFT lattice parameters and positions (PBE).

Atomic structure:
a b c (Å): 9.354 9.354 9.354
angles (deg): 60.00 60.00 60.00
Atoms (fractional coordinates):
Sr (0.000, 0.000, 0.000)
Pm (0.373, 0.373, 0.373)
Pm (0.373, 0.373, 0.880)
Pm (0.373, 0.880, 0.373)
Pm (0.750, 0.750, 0.750)
Pm (0.880, 0.373, 0.373)
Te (0.137, 0.137, 0.137)
Te (0.137, 0.137, 0.589)
Te (0.137, 0.589, 0.137)
Te (0.148, 0.617, 0.617)
Te (0.589, 0.137, 0.137)
Te (0.617, 0.148, 0.617)
Te (0.617, 0.617, 0.148)
Te (0.617, 0.617, 0.617)

Most intense lines, 2θ = 10–80°, low angle first:
2θ = 11.6°, intensity 19
2θ = 22.3°, intensity 50
2θ = 27.0°, intensity 73
2θ = 35.3°, intensity 39
2θ = 38.5°, intensity 100
2θ = 47.6°, intensity 18
2θ = 55.6°, intensity 16
2θ = 62.8°, intensity 22
2θ = 69.6°, intensity 30
2θ = 74.1°, intensity 14